For K2P2S5, a structure optimized by DFT (GGA-PBE) gives the theoretical powder XRD pattern in this record (copper Kα).
Kinematic intensities with the Lorentz-polarization factor, no thermal factor.

Peak list (10 most intense, 10° ≤ 2θ ≤ 80°, low angle first)
11.67°, I 85
16.26°, I 33
23.62°, I 100
28.43°, I 45
28.66°, I 39
29.41°, I 40
32.47°, I 89
33.65°, I 61
35.53°, I 39
36.78°, I 82

Structural model:
```
data_K2P2S5
_chemical_formula_sum 'K4 P4 S10'
_symmetry_space_group_name_H-M 'C 1 2/m 1'
_symmetry_Int_Tables_number 12
_cell_length_a 12.785
_cell_length_b 4.887
_cell_length_c 7.779
_cell_angle_alpha 90.00
_cell_angle_beta 102.97
_cell_angle_gamma 90.00
loop_
_symmetry_equiv_pos_as_xyz
'x,y,z'
'-x,-y,-z'
'-x,y,-z'
'x,-y,z'
'x+1/2,y+1/2,z'
'-x+1/2,-y+1/2,-z'
'-x+1/2,y+1/2,-z'
'x+1/2,-y+1/2,z'
loop_
_atom_site_label
_atom_site_fract_x
_atom_site_fract_y
_atom_site_fract_z
K1 0.089 0.000 0.323
P1 0.159 0.500 0.899
S1 0.000 0.500 0.000
S2 0.137 0.500 0.634
S3 0.174 0.000 0.969
```